Calculated X-ray powder pattern of K2Cr2CuP2O14 for Cu Kα (λ = 1.5418 Å), from a cell relaxed with PBE+U.
Kinematic intensities with the Lorentz-polarization factor, no thermal factor.

Crystal structure
abc: 9.776 7.200 8.854
angles: 90.00 91.63 90.00
Element x y z (fractional)
K  0.198  0.135  0.157
K  0.198  0.365  0.657
K  0.802  0.635  0.343
K  0.802  0.865  0.843
Cr  0.151  0.628  0.108
Cr  0.151  0.872  0.608
Cr  0.849  0.128  0.392
Cr  0.849  0.372  0.892
Cu  0.500  0.000  0.500
Cu  0.500  0.500  0.000
P  0.399  0.637  0.310
P  0.399  0.863  0.810
P  0.601  0.137  0.190
P  0.601  0.363  0.690
O  0.047  0.515  0.213
O  0.047  0.985  0.713
O  0.070  0.715  0.510
O  0.070  0.785  0.010
O  0.232  0.020  0.501
O  0.232  0.480  0.001
O  0.285  0.747  0.722
O  0.285  0.753  0.222
O  0.336  0.037  0.876
O  0.336  0.463  0.376
O  0.467  0.745  0.938
O  0.467  0.755  0.438
O  0.483  0.086  0.299
O  0.483  0.414  0.799
O  0.517  0.586  0.201
O  0.517  0.914  0.701
O  0.533  0.245  0.562
O  0.533  0.255  0.062
O  0.664  0.537  0.624
O  0.664  0.963  0.124
O  0.715  0.247  0.778
O  0.715  0.253  0.278
O  0.768  0.520  0.999
O  0.768  0.980  0.499
O  0.930  0.215  0.990
O  0.930  0.285  0.490
O  0.953  0.015  0.287
O  0.953  0.485  0.787

Principal peaks in the range 10 to 80 degrees two-theta, by angle:
| 2θ/deg | d [Å] | I_rel | h k l |
| --- | --- | --- | --- |
| 15.3 | 5.797 | 27 | 1 1 0 |
| 15.9 | 5.585 | 40 | 0 1 1 |
| 22.3 | 3.989 | 13 | 1 0 2 |
| 26.8 | 3.331 | 100 | 2 0 -2 |
| 27.4 | 3.257 | 22 | 3 0 0 |
| 27.6 | 3.235 | 16 | 2 0 2 |
| 32.1 | 2.792 | 40 | 3 1 1 |
| 34.3 | 2.612 | 15 | 1 1 3 |
| 38.9 | 2.317 | 14 | 3 2 1 |
| 40.4 | 2.233 | 14 | 1 2 -3 |